Starting from a cell relaxed with GGA-PBE, the powder X-ray diffraction pattern of Cu3B7IO13 was calculated for copper Kα.
Kinematic intensities with the Lorentz-polarization factor, no thermal factor.

Crystal structure
abc: 12.1519 12.1519 12.1519
angles: 90.00 90.00 90.00
Space group F-43c (No. 219)
Asymmetric unit:
Cu  0.0000  0.0000  0.2500 [24 per cell]
B  0.0000  0.2500  0.2500 [24 per cell]
B  0.1694  0.1694  0.1694 [32 per cell]
I  0.0000  0.0000  0.0000 [8 per cell]
O  0.0700  0.1526  0.2316 [96 per cell]
O  0.2500  0.2500  0.2500 [8 per cell]

Largest 10 diffraction maxima, in order of rising 2θ, 2θ = 10–90°:
- 14.58 deg, 6.076 Å, rel. 35, (2 0 0)
- 29.40 deg, 3.038 Å, rel. 100, (4 0 0)
- 32.96 deg, 2.717 Å, rel. 95, (4 2 0)
- 42.06 deg, 2.148 Å, rel. 64, (4 4 0)
- 44.75 deg, 2.025 Å, rel. 24, (6 0 0)
- 52.15 deg, 1.754 Å, rel. 30, (4 4 4)
- 54.45 deg, 1.685 Å, rel. 21, (6 4 0)
- 63.09 deg, 1.474 Å, rel. 29, (8 2 0)
- 69.14 deg, 1.359 Å, rel. 32, (8 4 0)
- 76.86 deg, 1.240 Å, rel. 28, (8 4 4)